This entry pairs a crystal structure of Yb11Mn12C18 with its simulated PXRD pattern. Radiation: copper Kα. Structure: DFT lattice parameters and positions (GGA-PBE).
Intensities are scaled so that the largest is 100.

abc: 10.130 10.130 10.130
angles: 90.00 90.00 90.00
Space group I-43m (No. 217)
Asymmetric unit:
Yb1 0.000 0.000 0.000 x2
Yb2 0.000 0.250 0.500 x12
Yb3 0.206 0.206 0.794 x8
Mn1 0.079 0.079 0.263 x24
C1 0.000 0.000 0.432 x12
C2 0.038 0.256 0.256 x24

Most intense lines, 15° ≤ 2θ ≤ 90°, in order of rising 2θ:
2theta, intensity
21.49, 25
30.57, 76
33.09, 100
35.45, 62
37.67, 51
41.83, 18
49.27, 17
51.00, 26
55.96, 54
68.01, 30